Record 1
ErLuZn2Sn2: simulated powder diffraction line list (Cu Kα (λ = 1.5418 Å)), based on a cell relaxed with PBE.
Peak positions follow from Bragg's law for the DFT cell and can differ from measured ones.

Top 10 peaks for 2θ = 5–70°, sorted by position:
- 22.96 deg, I 10.3
- 28.75 deg, I 15.6
- 32.60 deg, I 100.0
- 40.32 deg, I 59.7
- 46.65 deg, I 6.3
- 47.10 deg, I 12.8
- 52.61 deg, I 6.9
- 52.78 deg, I 25.9
- 63.33 deg, I 15.5
- 68.46 deg, I 23.9

Structural model:
Cell lengths 4.4733, 4.4733, 15.5774 Å; angles 90.00, 90.00, 120.00 degrees
Space group P6_3/mmc (No. 194)
Asymmetric unit:
Er1 0.0000 0.0000 0.0000
Lu1 0.0000 0.0000 0.2500
Zn1 0.3333 0.6667 0.1618
Sn1 0.3333 0.6667 0.6130

---

Record 2
Y2Er3Lu3Te: simulated powder diffraction line list (Cu Kα (λ = 1.5418 Å)), based on a cell relaxed with PBE.
Peak positions follow from Bragg's law for the DFT cell and can differ from measured ones.

Top 10 peaks for 2θ = 5–70°, sorted by position:
- 29.96 deg, I 39.2
- 30.93 deg, I 100.0
- 33.00 deg, I 44.9
- 34.09 deg, I 62.1
- 38.61 deg, I 19.9
- 46.69 deg, I 13.1
- 48.69 deg, I 13.5
- 56.48 deg, I 32.3
- 58.23 deg, I 12.2
- 60.77 deg, I 23.4

Structural model:
Cell lengths 9.1102, 9.1102, 3.7405 Å; angles 90.00, 90.00, 120.00 degrees
Space group P-62m (No. 189)
Asymmetric unit:
Y1 0.3333 0.6667 0.0000
Er1 0.0000 0.6168 0.5000
Lu1 0.0000 0.2742 0.0000
Te1 0.0000 0.0000 0.5000

---

Please write out number 1 again, unchanged.
ErLuZn2Sn2: simulated powder diffraction line list (Cu Kα (λ = 1.5418 Å)), based on a cell relaxed with PBE.
Peak positions follow from Bragg's law for the DFT cell and can differ from measured ones.

Top 10 peaks for 2θ = 5–70°, sorted by position:
- 22.96 deg, I 10.3
- 28.75 deg, I 15.6
- 32.60 deg, I 100.0
- 40.32 deg, I 59.7
- 46.65 deg, I 6.3
- 47.10 deg, I 12.8
- 52.61 deg, I 6.9
- 52.78 deg, I 25.9
- 63.33 deg, I 15.5
- 68.46 deg, I 23.9

Structural model:
Cell lengths 4.4733, 4.4733, 15.5774 Å; angles 90.00, 90.00, 120.00 degrees
Space group P6_3/mmc (No. 194)
Asymmetric unit:
Er1 0.0000 0.0000 0.0000
Lu1 0.0000 0.0000 0.2500
Zn1 0.3333 0.6667 0.1618
Sn1 0.3333 0.6667 0.6130